Structure and simulated powder diffraction line list of Ga2WO6 (a structure optimized by DFT (GGA+U); Cu Kα X-rays).

Atomic structure:
abc: 4.653 4.653 9.038
angles: 90.00 90.00 90.00
Space group P4_2/mnm (No. 136)
Inequivalent atoms, fractional coordinates:
Ga  0.000  0.000  0.164
W  0.000  0.000  0.500
O  0.196  0.196  0.339
O  0.200  0.200  0.000

Most intense lines, 2θ from 5° to 70°, in order of falling intensity:
Position (°2θ), I (rel.)
27.1, 100.0
35.5, 74.9
53.5, 64.3
21.5, 34.0
38.7, 21.4
68.0, 19.4
55.9, 16.6
63.2, 15.0
68.5, 13.9
19.6, 12.6

Structure and simulated powder diffraction line list of MgNiP2O7 (a structure optimized by DFT (GGA+U); Cu Kα X-rays).

Atomic structure:
abc: 6.681 8.607 4.499
angles: 90.00 102.61 90.00
Space group C2 (No. 5)
Inequivalent atoms, fractional coordinates:
Mg  0.000  0.000  0.000
Ni  0.000  0.368  0.500
P  0.210  0.709  0.897
O  0.000  0.763  0.000
O  0.128  0.191  0.802
O  0.191  0.546  0.754
O  0.238  0.847  0.700

Most intense lines, 2θ from 5° to 70°, in order of falling intensity:
Position (°2θ), I (rel.)
28.8, 100.0
29.1, 67.9
24.2, 66.5
30.4, 45.7
43.5, 40.8
47.0, 32.1
17.1, 30.8
20.6, 30.4
34.5, 27.6
57.0, 24.7